Hf2TlPb: computed powder X-ray diffraction pattern (Cu Kα (weighted mean of Kα1 and Kα2)), based on the PBE geometry in Alexandria.
Kinematic intensities with the Lorentz-polarization factor, no thermal factor.

Crystal structure
Unit cell a=4.5635 b=4.5635 c=4.4130 alpha=90.00 beta=90.00 gamma=90.00
Space group P4/mmm (No. 123)
Asymmetric unit:
Hf 0.0000 0.5000 0.0000 (multiplicity 2)
Tl 0.0000 0.0000 0.5000 (multiplicity 1)
Pb 0.5000 0.5000 0.5000 (multiplicity 1)

Largest 10 diffraction maxima, in order of rising 2θ, 2θ = 10–90°:
index, Position (°2θ), intensity
1 1 1, 34.43, 100.0
2 0 0, 39.49, 34.6
0 0 2, 40.90, 15.7
2 2 0, 57.08, 12.0
2 0 2, 58.16, 22.7
3 1 1, 68.39, 28.1
1 1 3, 70.33, 13.0
2 2 2, 72.59, 11.9
4 0 0, 85.02, 4.0
0 0 4, 88.66, 1.9


La3NdC8: computed powder X-ray diffraction pattern (Cu Kα (weighted mean of Kα1 and Kα2)), based on the PBE geometry in Alexandria.
Kinematic intensities with the Lorentz-polarization factor, no thermal factor.

Crystal structure
Unit cell a=7.9751 b=9.7099 c=10.7727 alpha=90.00 beta=90.00 gamma=90.00
Space group Fmmm (No. 69)
Asymmetric unit:
La 0.0000 0.0000 0.0000 (multiplicity 4)
La 0.2500 0.2500 0.2500 (multiplicity 8)
Nd 0.0000 0.0000 0.5000 (multiplicity 4)
C 0.0000 0.0668 0.2518 (multiplicity 16)
C 0.2458 0.1833 0.5000 (multiplicity 16)

Largest 10 diffraction maxima, in order of rising 2θ, 2θ = 10–90°:
index, Position (°2θ), intensity
0 2 2, 24.69, 94.7
2 0 2, 27.84, 62.1
2 2 0, 28.98, 100.0
0 0 4, 33.27, 37.7
0 4 0, 37.03, 20.4
2 2 4, 44.69, 58.9
4 0 0, 45.49, 15.1
2 4 2, 46.96, 44.1
0 4 4, 50.62, 16.7
4 2 2, 52.44, 26.0


Sc4IrO: computed powder X-ray diffraction pattern (Cu Kα (weighted mean of Kα1 and Kα2)), based on the PBE geometry in Alexandria.
Kinematic intensities with the Lorentz-polarization factor, no thermal factor.

Crystal structure
Unit cell a=12.4749 b=5.6794 c=6.3801 alpha=90.00 beta=107.53 gamma=90.00
Space group C2/c (No. 15)
Asymmetric unit:
Sc 0.0949 0.0968 0.4550 (multiplicity 8)
Sc 0.1763 0.4226 0.1368 (multiplicity 8)
Ir 0.0000 0.3170 0.7500 (multiplicity 4)
O 0.2500 0.2500 0.5000 (multiplicity 4)

Largest 10 diffraction maxima, in order of rising 2θ, 2θ = 10–90°:
index, Position (°2θ), intensity
2 0 0, 14.89, 67.3
1 1 -1, 21.17, 42.3
1 1 1, 24.11, 56.9
3 1 -1, 27.73, 42.3
3 1 1, 34.33, 49.2
4 0 -2, 35.28, 45.2
2 2 -1, 36.23, 100.0
5 1 0, 41.14, 21.4
1 1 -3, 45.94, 28.5
6 0 -2, 46.55, 18.2


ZrTl2Cl5: computed powder X-ray diffraction pattern (Cu Kα (weighted mean of Kα1 and Kα2)), based on the PBE geometry in Alexandria.
Kinematic intensities with the Lorentz-polarization factor, no thermal factor.

Crystal structure
Unit cell a=5.1185 b=16.7206 c=14.2008 alpha=90.00 beta=90.00 gamma=90.00
Space group Cmcm (No. 63)
Asymmetric unit:
Zr 0.0000 0.1528 0.2500 (multiplicity 4)
Tl 0.0000 0.1392 0.5642 (multiplicity 8)
Cl 0.0000 0.0463 0.1230 (multiplicity 8)
Cl 0.0000 0.2603 0.1186 (multiplicity 8)
Cl 0.0000 0.3424 0.7500 (multiplicity 4)

Largest 10 diffraction maxima, in order of rising 2θ, 2θ = 10–90°:
index, Position (°2θ), intensity
0 2 0, 10.58, 19.5
1 1 0, 18.13, 88.2
0 4 0, 21.26, 31.7
0 2 3, 21.57, 100.0
1 3 0, 23.60, 41.4
1 1 3, 26.19, 37.5
2 0 0, 35.06, 30.2
1 1 5, 36.58, 19.0
1 5 3, 37.32, 62.8
2 2 3, 41.54, 36.7


Ac2SnHg3: computed powder X-ray diffraction pattern (Cu Kα (weighted mean of Kα1 and Kα2)), based on the PBE geometry in Alexandria.
Kinematic intensities with the Lorentz-polarization factor, no thermal factor.

Crystal structure
Unit cell a=8.1244 b=10.1691 c=17.5756 alpha=90.00 beta=90.00 gamma=90.00
Space group Fmmm (No. 69)
Asymmetric unit:
Ac 0.2423 0.0000 0.0000 (multiplicity 8)
Ac 0.2500 0.2500 0.2500 (multiplicity 8)
Sn 0.0000 0.0000 0.3343 (multiplicity 8)
Hg 0.0000 0.0000 0.1662 (multiplicity 8)
Hg 0.0000 0.2492 0.4175 (multiplicity 16)

Largest 10 diffraction maxima, in order of rising 2θ, 2θ = 10–90°:
index, Position (°2θ), intensity
2 2 2, 29.94, 100.0
0 4 0, 35.34, 68.7
4 0 0, 44.61, 12.0
2 0 8, 46.98, 29.7
4 4 0, 58.16, 33.4
2 4 8, 60.11, 19.4
2 2 10, 60.19, 9.5
0 6 6, 63.41, 8.7
6 2 2, 73.13, 8.1
4 6 6, 80.82, 8.9


Er3TiSe6: computed powder X-ray diffraction pattern (Cu Kα (weighted mean of Kα1 and Kα2)), based on the PBE geometry in Alexandria.
Kinematic intensities with the Lorentz-polarization factor, no thermal factor.

Crystal structure
Unit cell a=11.5882 b=11.5882 c=13.9123 alpha=90.00 beta=90.00 gamma=120.00
Space group R-3 (No. 148, hexagonal axes)
Asymmetric unit:
Er 0.0550 0.2735 0.1999 (multiplicity 18)
Ti 0.0000 0.0000 0.0000 (multiplicity 3)
Ti 0.0000 0.0000 0.5000 (multiplicity 3)
Se 0.0172 0.1998 0.3963 (multiplicity 18)
Se 0.0333 0.1922 0.8856 (multiplicity 18)

Largest 10 diffraction maxima, in order of rising 2θ, 2θ = 10–90°:
index, Position (°2θ), intensity
0 2 1, 18.80, 19.8
0 0 3, 19.14, 55.9
2 1 1, 24.32, 100.0
1 1 3, 24.59, 29.5
3 1 2, 34.71, 79.1
2 1 4, 35.00, 85.6
1 4 0, 41.23, 65.6
1 1 6, 41.97, 35.3
1 4 3, 45.82, 25.0
4 -1 5, 46.13, 19.9


TlGe2SbCl8: computed powder X-ray diffraction pattern (Cu Kα (weighted mean of Kα1 and Kα2)), based on the PBE geometry in Alexandria.
Kinematic intensities with the Lorentz-polarization factor, no thermal factor.

Crystal structure
Unit cell a=6.3924 b=6.9970 c=9.0790 alpha=92.72 beta=91.11 gamma=94.92
Space group P-1 (No. 2)
Asymmetric unit:
Tl 0.0000 0.0000 0.0000 (multiplicity 1)
Ge 0.4549 0.5595 0.2726 (multiplicity 2)
Sb 0.0000 0.0000 0.5000 (multiplicity 1)
Cl 0.2072 0.1973 0.3004 (multiplicity 2)
Cl 0.2366 0.6954 0.4602 (multiplicity 2)
Cl 0.2750 0.1341 0.7174 (multiplicity 2)
Cl 0.2794 0.6457 0.0676 (multiplicity 2)

Largest 10 diffraction maxima, in order of rising 2θ, 2θ = 10–90°:
index, Position (°2θ), intensity
0 1 0, 12.71, 36.5
1 -1 0, 18.04, 100.0
1 1 0, 19.69, 97.9
0 1 -2, 22.88, 30.1
1 0 -2, 23.83, 53.0
0 1 2, 23.95, 32.6
1 0 2, 24.37, 52.7
1 -2 0, 28.11, 42.8
2 -1 2, 35.94, 47.1
2 1 -2, 37.00, 29.8


Rb3Tl5Sn2: computed powder X-ray diffraction pattern (Cu Kα (weighted mean of Kα1 and Kα2)), based on the PBE geometry in Alexandria.
Kinematic intensities with the Lorentz-polarization factor, no thermal factor.

Crystal structure
Unit cell a=12.8300 b=12.8300 c=4.7521 alpha=90.00 beta=90.00 gamma=90.00
Space group P4/mbm (No. 127)
Asymmetric unit:
Rb 0.0000 0.0000 0.0000 (multiplicity 2)
Rb 0.1733 0.3267 0.0000 (multiplicity 4)
Tl 0.0000 0.5000 0.5000 (multiplicity 2)
Tl 0.0649 0.7718 0.5000 (multiplicity 8)
Sn 0.1248 0.6248 0.0000 (multiplicity 4)

Largest 10 diffraction maxima, in order of rising 2θ, 2θ = 10–90°:
index, Position (°2θ), intensity
2 1 0, 15.44, 47.8
2 2 1, 27.18, 34.2
4 1 0, 28.69, 52.1
3 1 1, 28.94, 100.0
4 2 0, 31.18, 36.2
3 2 1, 31.41, 66.5
4 0 1, 33.71, 47.6
0 0 2, 37.86, 36.5
4 1 2, 48.19, 25.3
5 4 1, 49.36, 23.2


Repeat the eighth record exactly.
Rb3Tl5Sn2: computed powder X-ray diffraction pattern (Cu Kα (weighted mean of Kα1 and Kα2)), based on the PBE geometry in Alexandria.
Kinematic intensities with the Lorentz-polarization factor, no thermal factor.

Crystal structure
Unit cell a=12.8300 b=12.8300 c=4.7521 alpha=90.00 beta=90.00 gamma=90.00
Space group P4/mbm (No. 127)
Asymmetric unit:
Rb 0.0000 0.0000 0.0000 (multiplicity 2)
Rb 0.1733 0.3267 0.0000 (multiplicity 4)
Tl 0.0000 0.5000 0.5000 (multiplicity 2)
Tl 0.0649 0.7718 0.5000 (multiplicity 8)
Sn 0.1248 0.6248 0.0000 (multiplicity 4)

Largest 10 diffraction maxima, in order of rising 2θ, 2θ = 10–90°:
index, Position (°2θ), intensity
2 1 0, 15.44, 47.8
2 2 1, 27.18, 34.2
4 1 0, 28.69, 52.1
3 1 1, 28.94, 100.0
4 2 0, 31.18, 36.2
3 2 1, 31.41, 66.5
4 0 1, 33.71, 47.6
0 0 2, 37.86, 36.5
4 1 2, 48.19, 25.3
5 4 1, 49.36, 23.2